1.
Calculated PXRD pattern
Compound: LiCu2Sb
Radiation: copper Kα
Structure: DFT lattice parameters and positions (GGA-PBE)
Peak positions follow from Bragg's law for the DFT cell and can differ from measured ones.

Peak list (10 most intense, 2θ from 15° to 90°, by intensity)
| Position (°2θ) | I_rel |
| --- | --- |
| 40.8 | 100 |
| 74.3 | 31 |
| 28.5 | 25 |
| 24.7 | 25 |
| 59.1 | 16 |
| 48.3 | 12 |
| 88.4 | 10 |
| 66.9 | 9 |
| 50.5 | 7 |
| 65.0 | 5 |

Structural model:
```
data_LiCu2Sb
_cell_length_a 6.2552
_cell_length_b 6.2552
_cell_length_c 6.2552
_cell_angle_alpha 90.00
_cell_angle_beta 90.00
_cell_angle_gamma 90.00
_symmetry_space_group_name_H-M 'P 1'
_symmetry_Int_Tables_number 1
loop_
_symmetry_equiv_pos_as_xyz
'x,y,z'
loop_
_atom_site_label
_atom_site_type_symbol
_atom_site_fract_x
_atom_site_fract_y
_atom_site_fract_z
_atom_site_occupancy
Li1 Li 0.0000 0.0000 0.0000 1
Li2 Li 0.0000 0.5000 0.5000 1
Li3 Li 0.5000 0.0000 0.5000 1
Li4 Li 0.5000 0.5000 0.0000 1
Cu1 Cu 0.0000 0.0000 0.5000 1
Cu2 Cu 0.0000 0.5000 0.0000 1
Cu3 Cu 0.2500 0.2500 0.2500 1
Cu4 Cu 0.2500 0.7500 0.7500 1
Cu5 Cu 0.5000 0.0000 0.0000 1
Cu6 Cu 0.5000 0.5000 0.5000 1
Cu7 Cu 0.7500 0.2500 0.7500 1
Cu8 Cu 0.7500 0.7500 0.2500 1
Sb1 Sb 0.2500 0.2500 0.7500 1
Sb2 Sb 0.2500 0.7500 0.2500 1
Sb3 Sb 0.7500 0.2500 0.2500 1
Sb4 Sb 0.7500 0.7500 0.7500 1
```

2.
Calculated PXRD pattern
Compound: Li3CuSb2
Radiation: copper Kα
Structure: DFT lattice parameters and positions (GGA-PBE)
Peak positions follow from Bragg's law for the DFT cell and can differ from measured ones.

Peak list (10 most intense, 2θ from 15° to 90°, by intensity)
| Position (°2θ) | I_rel |
| --- | --- |
| 25.4 | 100 |
| 40.8 | 53 |
| 45.3 | 22 |
| 44.4 | 21 |
| 16.7 | 15 |
| 51.7 | 14 |
| 25.9 | 13 |
| 51.9 | 13 |
| 71.7 | 9 |
| 30.9 | 9 |

Structural model:
```
data_Li3CuSb2
_cell_length_a 8.0099
_cell_length_b 8.0099
_cell_length_c 8.0099
_cell_angle_alpha 137.82
_cell_angle_beta 61.29
_cell_angle_gamma 137.67
_symmetry_space_group_name_H-M 'P 1'
_symmetry_Int_Tables_number 1
loop_
_symmetry_equiv_pos_as_xyz
'x,y,z'
loop_
_atom_site_label
_atom_site_type_symbol
_atom_site_fract_x
_atom_site_fract_y
_atom_site_fract_z
_atom_site_occupancy
Li1 Li 0.1637 0.2453 0.4090 1
Li2 Li 0.2500 0.2500 0.0000 1
Li3 Li 0.3363 0.7453 0.0816 1
Li4 Li 0.6637 0.2547 0.9184 1
Li5 Li 0.7500 0.7500 0.0000 1
Li6 Li 0.8363 0.7547 0.5910 1
Cu1 Cu 0.2500 0.7500 0.5000 1
Cu2 Cu 0.7500 0.2500 0.5000 1
Sb1 Sb 0.1293 0.7361 0.8654 1
Sb2 Sb 0.3707 0.2361 0.6068 1
Sb3 Sb 0.6293 0.7639 0.3932 1
Sb4 Sb 0.8707 0.2639 0.1346 1
```

3.
Calculated PXRD pattern
Compound: LiCu2Sb
Radiation: copper Kα
Structure: DFT lattice parameters and positions (GGA-PBE)
Peak positions follow from Bragg's law for the DFT cell and can differ from measured ones.

Peak list (10 most intense, 2θ from 15° to 90°, by intensity)
| Position (°2θ) | I_rel |
| --- | --- |
| 39.7 | 100 |
| 22.4 | 43 |
| 32.3 | 34 |
| 45.8 | 33 |
| 80.5 | 23 |
| 67.6 | 19 |
| 46.9 | 15 |
| 57.1 | 13 |
| 82.2 | 11 |
| 66.7 | 10 |

Structural model:
```
data_LiCu2Sb
_cell_length_a 3.9648
_cell_length_b 3.9648
_cell_length_c 3.8753
_cell_angle_alpha 90.00
_cell_angle_beta 90.00
_cell_angle_gamma 90.00
_symmetry_space_group_name_H-M 'P 1'
_symmetry_Int_Tables_number 1
loop_
_symmetry_equiv_pos_as_xyz
'x,y,z'
loop_
_atom_site_label
_atom_site_type_symbol
_atom_site_fract_x
_atom_site_fract_y
_atom_site_fract_z
_atom_site_occupancy
Li1 Li 0.0000 0.0000 0.0000 1
Cu1 Cu 0.0000 0.5000 0.5000 1
Cu2 Cu 0.5000 0.0000 0.5000 1
Sb1 Sb 0.5000 0.5000 0.0000 1
```